TmTeS: simulated powder X-ray diffraction pattern (Cu Kα (λ = 1.5418 Å)), based on the PBE geometry in Alexandria.
Lines closer than 0.1° are merged.

The 8 most intense peaks (2θ = 10–90°), low angle first:
| two_theta | Rel. int. | h k l |
| --- | --- | --- |
| 20.2 | 62 | 2 0 1 |
| 27.5 | 23 | 1 1 1 |
| 27.6 | 100 | 3 1 0 |
| 32.3 | 25 | 3 1 -1 |
| 33.0 | 42 | 0 0 2 |
| 40.4 | 28 | 5 1 1 |
| 43.0 | 20 | 0 2 0 |
| 43.6 | 58 | 3 1 2 |

Cell and atoms:
a = 15.0971 Å, b = 4.2037 Å, c = 5.4267 Å
α = 90.00°, β = 90.19°, γ = 90.00°
Space group C2/m (No. 12)
Asymmetric unit:
Tm 0.1876 0.0000 0.2494
Te 0.0352 0.5000 0.2498
S 0.1997 0.0000 0.7495